# 1
# U2TiSe4
Theoretical powder diffraction line list, CuKα. Input: a DFT-relaxed cell (GGA-PBE, Alexandria).
Kinematic intensities with the Lorentz-polarization factor, no thermal factor.

```
U2TiSe4
1.0
7.324 -1.921 0.000
7.324 1.921 0.000
-3.043 0.000 6.071
U Ti Se
2 1 4
Direct
0.247 0.247 0.248
0.753 0.753 0.752
0.500 0.500 0.500
0.109 0.109 0.776
0.387 0.387 0.707
0.613 0.613 0.293
0.891 0.891 0.224
```

Most intense lines, 10 to 90 degrees two-theta, in order of rising 2θ:
2θ/deg, d_spacing, intensity
13.5, 6.548, 75
26.7, 3.343, 33
29.4, 3.036, 51
30.1, 2.967, 100
38.3, 2.349, 57
38.5, 2.336, 30
38.7, 2.329, 30
46.6, 1.950, 40
47.3, 1.921, 19
76.5, 1.245, 23

# 2
# Ba2HoZrS6
Theoretical powder diffraction line list, CuKα. Input: a DFT-relaxed cell (GGA-PBE, Alexandria).
Kinematic intensities with the Lorentz-polarization factor, no thermal factor.

```
Ba2HoZrS6
1.0
7.285 0.000 0.000
0.000 10.302 0.000
0.000 0.000 7.288
Ba Ho Zr S
4 2 2 12
Direct
0.250 0.000 0.249
0.250 0.500 0.249
0.750 0.000 0.751
0.750 0.500 0.751
0.250 0.250 0.751
0.750 0.750 0.249
0.250 0.750 0.749
0.750 0.250 0.251
0.004 0.750 0.993
0.006 0.750 0.504
0.250 0.505 0.751
0.250 0.995 0.751
0.494 0.750 0.504
0.496 0.750 0.993
0.504 0.250 0.007
0.506 0.250 0.496
0.750 0.005 0.249
0.750 0.495 0.249
0.994 0.250 0.496
0.996 0.250 0.007
```

Most intense lines, 10 to 90 degrees two-theta, in order of rising 2θ:
2θ/deg, d_spacing, intensity
24.4, 3.643, 100
30.0, 2.974, 9
34.8, 2.576, 51
43.0, 2.103, 45
50.1, 1.821, 35
56.5, 1.629, 20
62.4, 1.487, 12
68.1, 1.377, 23
78.8, 1.214, 12
84.0, 1.152, 16